Starting from a cell relaxed with GGA-PBE, the powder XRD pattern of Cs5Rb2Au3 was calculated for copper Kα.

Structural model:
```
data_Cs5Rb2Au3
_chemical_formula_sum 'Cs20 Rb8 Au12'
_cell_length_a 15.4201
_cell_length_b 17.2664
_cell_length_c 9.5434
_cell_angle_alpha 90.00
_cell_angle_beta 90.00
_cell_angle_gamma 90.00
_space_group_name_H-M_alt 'I b a m'
_space_group_IT_number 72
_space_group_name_Hall '-I 2 2c'
loop_
_atom_site_label
_atom_site_type_symbol
_atom_site_fract_x
_atom_site_fract_y
_atom_site_fract_z
Cs1 Cs 0.0000 0.0000 0.2500
Cs2 Cs 0.0000 0.2767 0.2500
Cs3 Cs 0.1775 0.4610 0.0000
Rb1 Rb 0.2435 0.2053 0.0000
Au1 Au 0.0000 0.5000 0.2500
Au2 Au 0.1039 0.1417 0.5000
```

Top 10 peaks for 2θ = 10–80°, by angle:
index	two_theta	Rel. int.
2 0 0	11.5	39
1 2 1	15.0	43
2 0 2	21.9	100
3 2 1	22.2	51
1 3 2	24.9	40
0 4 2	27.9	37
4 0 2	29.8	90
2 4 2	30.2	83
4 4 0	31.1	55
0 0 4	37.7	37